No. 1
# Nb2Fe4O9
Computed X-ray powder pattern, Cu Kα, 1.54184 Å. Input: a cell relaxed with GGA+U.

Atomic structure:
Lattice parameters (Å, degrees): 9.208 5.310 14.421 90.00 90.47 90.00
Space group C2/c (No. 15)
One atom of each set of equivalent atoms:
1 Nb 0.005 0.007 0.357 (multiplicity 8)
2 Fe 0.167 0.492 0.692 (multiplicity 8)
3 Fe 0.167 0.497 0.485 (multiplicity 8)
4 O 0.000 0.268 0.750 (multiplicity 4)
5 O 0.006 0.333 0.084 (multiplicity 8)
6 O 0.142 0.159 0.249 (multiplicity 8)
7 O 0.153 0.178 0.589 (multiplicity 8)
8 O 0.174 0.135 0.918 (multiplicity 8)

The 10 most intense peaks (10° ≤ 2θ ≤ 90°), sorted by position:
| Position (°2θ) | intensity | hkl |
| --- | --- | --- |
| 19.29 | 24 | 1 1 0 |
| 22.89 | 24 | 1 1 -2 |
| 31.40 | 47 | 2 0 -4 |
| 31.59 | 84 | 1 1 4 |
| 33.74 | 100 | 3 1 0 |
| 46.76 | 31 | 2 2 -4 |
| 47.00 | 19 | 4 0 4 |
| 51.06 | 20 | 3 1 -6 |
| 51.27 | 18 | 0 2 6 |
| 60.35 | 38 | 6 0 0 |

No. 2
# NbFeO4
Computed X-ray powder pattern, Cu Kα, 1.54184 Å. Input: a cell relaxed with GGA+U.

Atomic structure:
Lattice parameters (Å, degrees): 5.051 4.740 5.722 90.00 90.00 90.00
Space group Pnc2 (No. 30)
One atom of each set of equivalent atoms:
1 Nb 0.000 0.000 0.000 (multiplicity 2)
2 Fe 0.500 0.000 0.644 (multiplicity 2)
3 O 0.170 0.228 0.695 (multiplicity 4)
4 O 0.319 0.724 0.420 (multiplicity 4)

The 10 most intense peaks (10° ≤ 2θ ≤ 90°), sorted by position:
| Position (°2θ) | intensity | hkl |
| --- | --- | --- |
| 24.38 | 32 | 0 1 1 |
| 30.21 | 100 | 1 1 1 |
| 35.55 | 11 | 2 0 0 |
| 36.08 | 15 | 1 0 2 |
| 51.66 | 14 | 0 1 3 |
| 52.99 | 18 | 2 2 0 |
| 53.37 | 22 | 1 2 2 |
| 60.56 | 14 | 3 1 1 |
| 63.84 | 12 | 1 3 1 |
| 64.24 | 21 | 3 0 2 |

No. 3
# Nb2FeO6
Computed X-ray powder pattern, Cu Kα, 1.54184 Å. Input: a cell relaxed with GGA+U.

Atomic structure:
Lattice parameters (Å, degrees): 9.989 3.812 6.807 90.00 114.54 90.00
Space group C2/m (No. 12)
One atom of each set of equivalent atoms:
1 Nb 0.184 0.000 0.147 (multiplicity 4)
2 Fe 0.000 0.000 0.500 (multiplicity 2)
3 O 0.018 0.000 0.211 (multiplicity 4)
4 O 0.153 0.500 0.597 (multiplicity 4)
5 O 0.195 0.500 0.066 (multiplicity 4)

The 10 most intense peaks (10° ≤ 2θ ≤ 90°), sorted by position:
| Position (°2θ) | intensity | hkl |
| --- | --- | --- |
| 14.30 | 38 | 0 0 1 |
| 25.33 | 84 | 1 1 0 |
| 27.08 | 79 | 1 1 -1 |
| 27.30 | 93 | 2 0 -2 |
| 28.80 | 100 | 2 0 1 |
| 31.21 | 53 | 1 1 1 |
| 35.87 | 60 | 3 1 -1 |
| 47.71 | 43 | 0 2 0 |
| 56.04 | 33 | 5 1 0 |
| 57.14 | 40 | 5 1 -3 |